No. 1
This entry pairs a crystal structure of La5Dy2Er12 with its theoretical PXRD pattern. Radiation: copper Kα. Structure: a structure optimized by DFT (PBE).
Intensities are scaled so that the largest is 100.

The 6 most intense peaks (10 to 90 degrees two-theta), in order of rising 2θ:
Position (°2θ)  I_rel  index
29.15  60.7  1 -2 2
30.95  100.0  0 2 3
31.89  84.6  1 1 -3
32.09  77.6  2 1 2
32.50  79.3  1 3 0
32.74  73.8  -2 1 1

Atomic structure:
abc: 6.295 9.056 11.008
angles: 87.31 82.09 87.44
Space group P-1 (No. 2)
Inequivalent atoms, fractional coordinates:
La 0.000 0.000 0.000 x1
La 0.124 0.987 0.344 x2
La 0.271 0.550 0.942 x2
Dy 0.456 0.494 0.347 x2
Er 0.012 0.343 0.766 x2
Er 0.073 0.661 0.550 x2
Er 0.188 0.294 0.161 x2
Er 0.354 0.859 0.745 x2
Er 0.399 0.177 0.556 x2
Er 0.499 0.178 0.883 x2

No. 2
This entry pairs a crystal structure of La9Dy4Er with its theoretical PXRD pattern. Radiation: copper Kα. Structure: a structure optimized by DFT (PBE).
Intensities are scaled so that the largest is 100.

The 6 most intense peaks (10 to 90 degrees two-theta), in order of rising 2θ:
Position (°2θ)  I_rel  index
31.04  54.5  0 0 4
31.32  100.0  2 1 2
31.82  37.9  3 0 1
50.57  22.2  3 0 5
55.13  21.0  5 0 2
64.35  22.9  3 3 4

Atomic structure:
abc: 10.0455 10.0455 11.5299
angles: 90.00 90.00 120.00
Space group P6_3/mmc (No. 194)
Inequivalent atoms, fractional coordinates:
La 0.0779 0.5390 0.2500 x6
La 0.2073 0.4146 0.5293 x12
Dy 0.0000 0.0000 0.0000 x2
Dy 0.1097 0.2195 0.2500 x6
Er 0.3333 0.6667 0.7500 x2

No. 3
This entry pairs a crystal structure of La5Dy2Er2 with its theoretical PXRD pattern. Radiation: copper Kα. Structure: a structure optimized by DFT (PBE).
Intensities are scaled so that the largest is 100.

The 6 most intense peaks (10 to 90 degrees two-theta), in order of rising 2θ:
Position (°2θ)  I_rel  index
29.91  100.0  1 1 1
30.11  97.6  0 1 5
34.59  34.0  0 2 1
34.89  66.2  1 0 5
49.93  60.0  2 0 1
59.39  28.5  2 1 6

Atomic structure:
abc: 3.655 5.187 16.590
angles: 81.04 83.73 89.96
Space group P-1 (No. 2)
Inequivalent atoms, fractional coordinates:
La 0.000 0.000 0.000 x1
La 0.222 0.222 0.556 x2
La 0.441 0.442 0.115 x2
Dy 0.333 0.334 0.332 x2
Er 0.115 0.113 0.774 x2